For Pb3Br2, a DFT-relaxed cell (PBE, Alexandria) gives the calculated powder X-ray diffraction pattern in this record (a wavelength of 1.5418 Å).
No peak broadening, texture or thermal motion is included.

Principal peaks in the range 2θ from 10° to 80°, sorted by position:
- 13.3 deg, I = 33
- 28.2 deg, I = 100
- 34.3 deg, I = 50
- 35.9 deg, I = 18
- 44.8 deg, I = 15
- 45.6 deg, I = 29
- 47.7 deg, I = 14
- 54.5 deg, I = 16
- 57.8 deg, I = 17
- 73.7 deg, I = 14

```
Pb3Br2
1.0
1.9895 1.1487 13.3341
-1.9895 1.1487 13.3341
0.0000 -2.2973 13.3341
Pb Br
3 2
Direct
0.0000 0.0000 0.0000
0.1977 0.1977 0.1977
0.8023 0.8023 0.8023
0.3826 0.3826 0.3826
0.6174 0.6174 0.6174
```

---

For Sm8DyHo3, a DFT-relaxed cell (PBE, Alexandria) gives the calculated powder X-ray diffraction pattern in this record (a wavelength of 1.5418 Å).
No peak broadening, texture or thermal motion is included.

Principal peaks in the range 2θ from 10° to 80°, sorted by position:
- 31.2 deg, I = 80
- 31.3 deg, I = 16
- 31.6 deg, I = 100
- 45.0 deg, I = 29
- 51.9 deg, I = 8
- 55.9 deg, I = 12
- 56.1 deg, I = 30
- 56.2 deg, I = 12
- 61.9 deg, I = 10
- 62.0 deg, I = 19

```
Sm8DyHo3
1.0
3.5255 -5.6629 0.0000
3.5255 5.6629 0.0000
-3.4930 0.0000 9.8360
Sm Dy Ho
8 1 3
Direct
0.0701 0.5958 0.6660
0.0791 0.0791 0.1581
0.4042 0.9299 0.3340
0.4123 0.4123 0.8247
0.5877 0.5877 0.1753
0.5958 0.0701 0.6660
0.9209 0.9209 0.8419
0.9299 0.4042 0.3340
0.0000 0.0000 0.5000
0.0000 0.5000 0.0000
0.5000 0.0000 0.0000
0.5000 0.5000 0.5000
```